[1]
For Sr5W4, a structure optimized by DFT (GGA-PBE) gives the theoretical powder X-ray diffraction pattern in this record (λ = 1.5418 Å (Cu Kα)).
Kinematic intensities with the Lorentz-polarization factor, no thermal factor.

Lattice parameters (Å, degrees): 8.1054 8.1054 8.1054 94.55 94.55 147.29
Element x y z (fractional)
Sr (0.0000, 0.0000, 0.0000)
Sr (0.3254, 0.3254, 0.6508)
Sr (0.3254, 0.6746, 0.0000)
Sr (0.6746, 0.3254, 0.0000)
Sr (0.6746, 0.6746, 0.3492)
W (0.0000, 0.3928, 0.3928)
W (0.0000, 0.6072, 0.6072)
W (0.3928, 0.0000, 0.3928)
W (0.6072, 0.0000, 0.6072)

Largest 8 diffraction maxima, in order of falling intensity, 2θ = 10–90°:
2θ = 31.3°, I 100.0
2θ = 11.4°, I 90.7
2θ = 48.9°, I 28.0
2θ = 16.1°, I 27.7
2θ = 39.1°, I 26.4
2θ = 34.6°, I 23.4
2θ = 39.5°, I 19.8
2θ = 22.9°, I 16.4

---

[2]
For Sr3CaGa, a structure optimized by DFT (GGA-PBE) gives the theoretical powder X-ray diffraction pattern in this record (λ = 1.5418 Å (Cu Kα)).
Kinematic intensities with the Lorentz-polarization factor, no thermal factor.

Lattice parameters (Å, degrees): 13.1150 13.1150 4.9443 90.00 90.00 90.00
Element x y z (fractional)
Sr (0.0137, 0.3236, 0.0000)
Sr (0.1112, 0.8888, 0.5000)
Sr (0.1764, 0.5137, 0.5000)
Sr (0.3236, 0.0137, 0.0000)
Sr (0.3888, 0.3888, 0.0000)
Sr (0.4863, 0.8236, 0.5000)
Sr (0.5137, 0.1764, 0.5000)
Sr (0.6112, 0.6112, 0.0000)
Sr (0.6764, 0.9863, 0.0000)
Sr (0.8236, 0.4863, 0.5000)
Sr (0.8888, 0.1112, 0.5000)
Sr (0.9863, 0.6764, 0.0000)
Ca (0.1873, 0.1873, 0.5000)
Ca (0.3127, 0.6873, 0.0000)
Ca (0.6873, 0.3127, 0.0000)
Ca (0.8127, 0.8127, 0.5000)
Ga (0.0696, 0.0696, 0.0000)
Ga (0.4304, 0.5696, 0.5000)
Ga (0.5696, 0.4304, 0.5000)
Ga (0.9304, 0.9304, 0.0000)

Largest 8 diffraction maxima, in order of falling intensity, 2θ = 10–90°:
2θ = 27.2°, I 100.0
2θ = 28.1°, I 31.0
2θ = 28.9°, I 30.2
2θ = 34.9°, I 23.9
2θ = 36.3°, I 22.0
2θ = 48.1°, I 17.7
2θ = 51.3°, I 15.8
2θ = 59.9°, I 15.6